The following is a calculated PXRD pattern of FeGeW4N2. It was derived from the PBE geometry in OQMD, using λ = 1.5418 Å (Cu Kα).

Structural model:
a = 2.8467 Å, b = 2.8467 Å, c = 14.4025 Å
α = 90.00°, β = 90.00°, γ = 120.00°
Space group P-6m2 (No. 187)
Inequivalent atoms, fractional coordinates:
Fe: 0.0000 0.0000 0.0000 [1 per cell]
Ge: 0.6667 0.3333 0.5000 [1 per cell]
W: 0.0000 0.0000 0.3470 [2 per cell]
W: 0.6667 0.3333 0.1467 [2 per cell]
N: 0.3333 0.6667 0.2481 [2 per cell]

Largest 10 diffraction maxima, in order of rising 2θ, 2θ = 10–80°:
| Position (°2θ) | d (Å) | I/Imax | index |
| --- | --- | --- | --- |
| 24.73 | 3.601 | 22 | 0 0 4 |
| 36.44 | 2.465 | 22 | 1 0 0 |
| 36.99 | 2.430 | 17 | 1 0 1 |
| 37.47 | 2.400 | 20 | 0 0 6 |
| 41.16 | 2.193 | 100 | 1 0 3 |
| 44.54 | 2.034 | 10 | 1 0 4 |
| 53.26 | 1.720 | 13 | 1 0 6 |
| 58.42 | 1.580 | 17 | 1 0 7 |
| 65.59 | 1.423 | 19 | 1 1 0 |
| 78.05 | 1.224 | 15 | 1 1 6 |